(1)
Computed X-ray powder pattern
Compound: LaNbCo2Si
Radiation: CuKα
Structure: a GGA-PBE-relaxed structure

a b c (Å): 4.4141 4.4141 5.2781
angles (deg): 90.00 90.00 90.00
Space group P4/mmm (No. 123)
Symmetry-distinct sites (fractional):
La1 0.0000 0.0000 0.0000 (multiplicity 1)
Nb1 0.5000 0.5000 0.5000 (multiplicity 1)
Co1 0.0000 0.5000 0.0000 (multiplicity 2)
Si1 0.0000 0.0000 0.5000 (multiplicity 1)

Most intense lines, 2θ from 5° to 70°, in order of rising 2θ:
2θ (°)	intensity	(hkl)
16.80	32	0 0 1
26.32	100	1 0 1
28.60	18	1 1 0
33.35	17	1 1 1
33.97	46	0 0 2
40.89	55	2 0 0
49.28	36	2 1 1
54.17	47	2 0 2
56.29	12	1 0 3
59.21	18	2 2 0


(2)
Computed X-ray powder pattern
Compound: La6Nd2Co
Radiation: CuKα
Structure: a GGA-PBE-relaxed structure

a b c (Å): 8.8581 9.3439 7.5937
angles (deg): 90.00 90.00 90.00
Space group Pnnm (No. 58)
Symmetry-distinct sites (fractional):
La1 0.9998 0.2104 0.2494 (multiplicity 8)
La2 0.1962 0.4992 0.5000 (multiplicity 4)
Nd1 0.1968 0.5000 0.0000 (multiplicity 4)
Co1 0.0000 0.0000 0.0000 (multiplicity 2)

Most intense lines, 2θ from 5° to 70°, in order of rising 2θ:
2θ (°)	intensity	(hkl)
27.75	63	2 2 0
30.35	100	0 2 2
31.02	55	2 0 2
31.78	27	3 1 0
38.54	15	0 4 0
47.92	13	0 0 4
48.80	30	3 3 2
50.27	15	2 4 2
51.63	14	4 2 2
56.28	18	2 2 4


(3)
Computed X-ray powder pattern
Compound: La3NdCo
Radiation: CuKα
Structure: a GGA-PBE-relaxed structure

a b c (Å): 7.7382 6.6385 6.4100
angles (deg): 90.00 90.00 90.00
Space group Pmn2_1 (No. 31)
Symmetry-distinct sites (fractional):
La1 0.0000 0.1506 0.0000 (multiplicity 2)
La2 0.2485 0.6665 0.9977 (multiplicity 4)
Nd1 0.0000 0.8428 0.4995 (multiplicity 2)
Co1 0.0000 0.4944 0.2453 (multiplicity 2)

Most intense lines, 2θ from 5° to 70°, in order of rising 2θ:
2θ (°)	intensity	(hkl)
26.67	17	2 1 0
27.84	34	0 0 2
30.15	100	2 1 1
30.32	56	0 2 1
38.93	29	2 1 2
47.32	24	2 3 0
50.71	23	2 1 3
50.82	13	0 2 3
55.80	19	2 3 2
56.94	19	4 2 1


(4)
Computed X-ray powder pattern
Compound: La8Nd2Co3
Radiation: CuKα
Structure: a GGA-PBE-relaxed structure

a b c (Å): 16.1701 7.5529 6.9274
angles (deg): 90.00 96.47 90.00
Space group C2/m (No. 12)
Symmetry-distinct sites (fractional):
La1 0.0770 0.2232 0.3323 (multiplicity 8)
La2 0.0946 0.5000 0.8746 (multiplicity 4)
La3 0.1448 0.0000 0.8863 (multiplicity 4)
Nd1 0.2334 0.5000 0.5252 (multiplicity 4)
Co1 0.0000 0.1827 0.0000 (multiplicity 4)
Co2 0.0000 0.5000 0.5000 (multiplicity 2)

Most intense lines, 2θ from 5° to 70°, in order of rising 2θ:
2θ (°)	intensity	(hkl)
11.01	25	2 0 0
26.07	33	2 2 0
26.98	100	2 0 -2
29.74	80	2 2 1
31.67	38	5 1 -1
34.15	84	4 2 -1
36.11	21	1 3 0
36.23	24	4 0 2
46.30	36	0 2 3
51.56	22	6 2 2


(5)
Computed X-ray powder pattern
Compound: La7NdCo3
Radiation: CuKα
Structure: a GGA-PBE-relaxed structure

a b c (Å): 7.8698 7.8698 6.5203
angles (deg): 90.00 90.00 120.00
Space group P3m1 (No. 156)
Symmetry-distinct sites (fractional):
La1 0.0000 0.0000 0.0000 (multiplicity 1)
La2 0.0029 0.5015 0.9984 (multiplicity 3)
La3 0.3324 0.1662 0.4792 (multiplicity 3)
Nd1 0.3333 0.6667 0.4804 (multiplicity 1)
Co1 0.1661 0.3321 0.2367 (multiplicity 3)

Most intense lines, 2θ from 5° to 70°, in order of rising 2θ:
2θ (°)	intensity	(hkl)
13.58	8	0 0 1
26.15	10	2 0 0
27.36	18	0 0 2
29.58	100	0 2 1
38.20	30	0 2 2
46.14	26	2 2 0
49.76	24	2 0 3
54.47	16	2 2 2
55.76	17	4 0 1
61.40	7	4 0 2


(6)
Computed X-ray powder pattern
Compound: LaNdCoRu
Radiation: CuKα
Structure: a GGA-PBE-relaxed structure

a b c (Å): 7.0506 7.0506 7.0506
angles (deg): 90.00 90.00 90.00
Space group F-43m (No. 216)
Symmetry-distinct sites (fractional):
La1 0.0000 0.0000 0.0000 (multiplicity 4)
Nd1 0.0000 0.0000 0.5000 (multiplicity 4)
Co1 0.2500 0.2500 0.2500 (multiplicity 4)
Ru1 0.2500 0.2500 0.7500 (multiplicity 4)

Most intense lines, 2θ from 5° to 70°, in order of rising 2θ:
2θ (°)	intensity	(hkl)
21.83	2	1 1 1
25.26	8	2 0 0
36.03	100	2 2 0
42.53	1	3 1 1
44.51	3	2 2 2
51.87	17	4 0 0
58.55	4	4 2 0
64.78	35	4 2 2


(7)
Computed X-ray powder pattern
Compound: La8Co3Ni
Radiation: CuKα
Structure: a GGA-PBE-relaxed structure

a b c (Å): 16.8389 5.5880 8.9171
angles (deg): 90.00 108.36 90.00
Space group Cm (No. 8)
Symmetry-distinct sites (fractional):
La1 0.0000 0.0000 0.0000 (multiplicity 2)
La2 0.0389 0.5000 0.3084 (multiplicity 2)
La3 0.1037 0.0000 0.6469 (multiplicity 2)
La4 0.2138 0.0000 0.3408 (multiplicity 2)
La5 0.2723 0.5000 0.6871 (multiplicity 2)
La6 0.3137 0.0000 0.0030 (multiplicity 2)
La7 0.3800 0.5000 0.3216 (multiplicity 2)
La8 0.4298 0.0000 0.6604 (multiplicity 2)
Co1 0.0496 0.0000 0.3021 (multiplicity 2)
Co2 0.2642 0.0000 0.6868 (multiplicity 2)
Co3 0.3663 0.0000 0.3026 (multiplicity 2)
Ni1 0.4410 0.5000 0.6745 (multiplicity 2)

Most intense lines, 2θ from 5° to 70°, in order of rising 2θ:
2θ (°)	intensity	(hkl)
16.81	20	1 1 0
27.52	100	3 1 1
31.72	41	0 0 3
31.89	42	6 0 -1
32.03	44	0 2 0
45.59	29	6 0 2
45.70	30	0 2 3
45.83	31	6 2 -1
54.38	15	3 3 1
56.81	29	6 2 2